(1)
Starting from DFT lattice parameters and positions (GGA-PBE), the X-ray powder pattern of K2Nb2Al2O7 was computed for a wavelength of 1.5418 Å.
Peak positions follow from Bragg's law for the DFT cell and can differ from measured ones.

Principal peaks in the range 2θ from 10° to 80°, sorted by position:
| 2θ/deg | intensity |
| --- | --- |
| 21.12 | 98.8 |
| 22.88 | 50.0 |
| 29.09 | 69.4 |
| 30.97 | 100.0 |
| 38.85 | 22.9 |
| 39.15 | 24.3 |
| 43.01 | 47.4 |
| 53.93 | 22.6 |
| 68.54 | 21.0 |
| 69.39 | 20.3 |

Structure:
a = 5.7756 Å, b = 5.7756 Å, c = 7.7745 Å
α = 90.00°, β = 90.00°, γ = 120.00°
Atoms (fractional coordinates):
1 K 0.3333 0.6667 0.1226
2 K 0.6667 0.3333 0.8774
3 Nb 0.3333 0.6667 0.6906
4 Nb 0.6667 0.3333 0.3094
5 Al 0.0000 0.0000 0.2858
6 Al 0.0000 0.0000 0.7142
7 O 0.0000 0.0000 0.5000
8 O 0.1642 0.3285 0.7997
9 O 0.1642 0.8358 0.7997
10 O 0.3285 0.1642 0.2003
11 O 0.6715 0.8358 0.7997
12 O 0.8358 0.1642 0.2003
13 O 0.8358 0.6715 0.2003

***

(2)
Starting from DFT lattice parameters and positions (GGA-PBE), the X-ray powder pattern of KTaAl2O6 was computed for a wavelength of 1.5418 Å.
Peak positions follow from Bragg's law for the DFT cell and can differ from measured ones.

Principal peaks in the range 2θ from 10° to 80°, sorted by position:
| 2θ/deg | intensity |
| --- | --- |
| 14.57 | 100.0 |
| 18.47 | 32.6 |
| 22.64 | 20.5 |
| 27.57 | 47.2 |
| 28.35 | 29.7 |
| 29.37 | 52.0 |
| 30.13 | 30.6 |
| 34.05 | 27.8 |
| 35.96 | 28.2 |
| 47.60 | 33.9 |

Structure:
a = 7.8550 Å, b = 3.4367 Å, c = 9.6085 Å
α = 90.00°, β = 90.00°, γ = 90.00°
Atoms (fractional coordinates):
1 K 0.0000 0.1978 0.0000
2 K 0.5000 0.8022 0.5000
3 Ta 0.0000 0.7644 0.3967
4 Ta 0.5000 0.2356 0.8967
5 Al 0.1949 0.7246 0.7198
6 Al 0.3051 0.2754 0.2198
7 Al 0.6949 0.2754 0.2198
8 Al 0.8051 0.7246 0.7198
9 O 0.0000 0.2668 0.3122
10 O 0.0000 0.7153 0.8042
11 O 0.1709 0.7386 0.5354
12 O 0.2187 0.7738 0.2498
13 O 0.2813 0.2262 0.7498
14 O 0.3291 0.2614 0.0354
15 O 0.5000 0.2847 0.3042
16 O 0.5000 0.7332 0.8122
17 O 0.6709 0.2614 0.0354
18 O 0.7187 0.2262 0.7498
19 O 0.7813 0.7738 0.2498
20 O 0.8291 0.7386 0.5354

***

(3)
Starting from DFT lattice parameters and positions (GGA-PBE), the X-ray powder pattern of KTmAlS3 was computed for a wavelength of 1.5418 Å.
Peak positions follow from Bragg's law for the DFT cell and can differ from measured ones.

Principal peaks in the range 2θ from 10° to 80°, sorted by position:
| 2θ/deg | intensity |
| --- | --- |
| 11.04 | 95.5 |
| 14.80 | 45.0 |
| 16.43 | 49.4 |
| 22.62 | 42.7 |
| 23.77 | 66.8 |
| 27.38 | 100.0 |
| 28.09 | 52.0 |
| 32.16 | 43.5 |
| 36.26 | 59.5 |
| 37.95 | 70.9 |

Structure:
a = 10.7895 Å, b = 4.1620 Å, c = 11.9738 Å
α = 90.00°, β = 90.00°, γ = 90.00°
Atoms (fractional coordinates):
1 K 0.1652 0.2500 0.0005
2 K 0.3348 0.7500 0.5005
3 K 0.6652 0.2500 0.4995
4 K 0.8348 0.7500 0.9995
5 Tm 0.0317 0.2500 0.6655
6 Tm 0.4683 0.7500 0.1655
7 Tm 0.5317 0.2500 0.8345
8 Tm 0.9683 0.7500 0.3345
9 Al 0.2367 0.2500 0.2814
10 Al 0.2633 0.7500 0.7814
11 Al 0.7367 0.2500 0.2186
12 Al 0.7633 0.7500 0.7186
13 S 0.0595 0.7500 0.8229
14 S 0.1052 0.2500 0.4338
15 S 0.2064 0.7500 0.1990
16 S 0.2936 0.2500 0.6990
17 S 0.3948 0.7500 0.9338
18 S 0.4405 0.2500 0.3229
19 S 0.5595 0.7500 0.6771
20 S 0.6052 0.2500 0.0662
21 S 0.7064 0.7500 0.3010
22 S 0.7936 0.2500 0.8010
23 S 0.8948 0.7500 0.5662
24 S 0.9405 0.2500 0.1771

***

(4)
Starting from DFT lattice parameters and positions (GGA-PBE), the X-ray powder pattern of KZrAlSe3 was computed for a wavelength of 1.5418 Å.
Peak positions follow from Bragg's law for the DFT cell and can differ from measured ones.

Principal peaks in the range 2θ from 10° to 80°, sorted by position:
| 2θ/deg | intensity |
| --- | --- |
| 11.23 | 100.0 |
| 28.13 | 51.5 |
| 29.08 | 62.5 |
| 30.35 | 69.6 |
| 33.91 | 46.4 |
| 34.50 | 26.0 |
| 41.11 | 45.5 |
| 45.71 | 28.7 |
| 49.49 | 24.8 |
| 53.20 | 24.6 |

Structure:
a = 8.1045 Å, b = 8.1045 Å, c = 10.3965 Å
α = 90.00°, β = 90.00°, γ = 153.00°
Atoms (fractional coordinates):
1 K 0.2470 0.7530 0.7500
2 K 0.7530 0.2470 0.2500
3 Zr 0.5000 0.5000 0.0000
4 Zr 0.5000 0.5000 0.5000
5 Al 0.0384 0.9616 0.2500
6 Al 0.9616 0.0384 0.7500
7 Se 0.1268 0.8732 0.0615
8 Se 0.1268 0.8732 0.4385
9 Se 0.4366 0.5634 0.2500
10 Se 0.5634 0.4366 0.7500
11 Se 0.8732 0.1268 0.5615
12 Se 0.8732 0.1268 0.9385